# Tb4Nd3S8
Calculated X-ray diffraction stick pattern, CuKα. Input: a PBE-relaxed structure.
Neutral-atom scattering factors, no anomalous dispersion.

Peak list (10 most intense, 10° ≤ 2θ ≤ 80°, by intensity)
| (hkl) | 2θ/deg | intensity |
| --- | --- | --- |
| 0 4 0 | 31.7 | 100 |
| 0 4 2 | 45.5 | 48 |
| 2 2 0 | 27.3 | 34 |
| 2 2 -2 | 27.4 | 34 |
| 0 8 2 | 75.3 | 21 |
| 2 6 0 | 53.8 | 17 |
| 6 2 -4 | 54.0 | 17 |
| 1 1 0 | 13.6 | 15 |
| 4 4 0 | 56.4 | 13 |
| 4 4 -4 | 56.6 | 12 |

abc: 11.279 11.284 7.957
angles: 90.00 134.82 90.00
Space group C2/m (No. 12)
Unique sites:
Tb: 0.000 0.000 0.000 x2
Tb: 0.000 0.000 0.500 x2
Tb: 0.250 0.250 0.000 x4
Nd: 0.000 0.500 0.500 x2
Nd: 0.250 0.250 0.500 x4
S: 0.000 0.246 0.500 x4
S: 0.000 0.247 0.000 x4
S: 0.242 0.000 0.493 x4
S: 0.244 0.000 0.992 x4